[1]
Starting from a cell relaxed with GGA-PBE, the powder diffraction line list of HoB4Pb was computed for a wavelength of 1.5418 Å.
Kinematic intensities with the Lorentz-polarization factor, no thermal factor.

Structure:
abc: 3.2446 3.2446 8.4495
angles: 90.00 90.00 120.00
Space group P6/mmm (No. 191)
One atom of each set of equivalent atoms:
Ho 0.0000 0.0000 0.0000
B 0.3333 0.6667 0.2216
Pb 0.0000 0.0000 0.5000

The 10 most intense peaks (10 to 90 degrees two-theta), sorted by position:
- hkl 0 0 2, 2θ = 21.0°, I 569
- hkl 1 0 0, 2θ = 31.8°, I 703
- hkl 1 0 2, 2θ = 38.5°, I 1000
- hkl 0 0 4, 2θ = 42.8°, I 129
- hkl 1 0 4, 2θ = 54.3°, I 328
- hkl 1 1 0, 2θ = 56.7°, I 174
- hkl 1 1 2, 2θ = 61.2°, I 212
- hkl 2 0 2, 2θ = 70.7°, I 170
- hkl 1 1 4, 2θ = 73.6°, I 158
- hkl 1 0 6, 2θ = 75.5°, I 138


[2]
Starting from a cell relaxed with GGA-PBE, the powder diffraction line list of TlMoAuSeS2 was computed for a wavelength of 1.5418 Å.
Kinematic intensities with the Lorentz-polarization factor, no thermal factor.

Structure:
abc: 3.3950 16.2506 9.8786
angles: 90.00 90.00 90.00
Space group Cmcm (No. 63)
One atom of each set of equivalent atoms:
Tl 0.0000 0.1931 0.2500
Mo 0.0000 0.5000 0.0000
Au 0.0000 0.1532 0.7500
Se 0.0000 0.4675 0.7500
S 0.0000 0.1090 0.5224

The 10 most intense peaks (10 to 90 degrees two-theta), sorted by position:
- hkl 0 0 2, 2θ = 18.0°, I 555
- hkl 0 2 2, 2θ = 21.0°, I 549
- hkl 1 3 0, 2θ = 31.1°, I 1000
- hkl 1 3 1, 2θ = 32.4°, I 358
- hkl 0 6 1, 2θ = 34.3°, I 292
- hkl 1 3 2, 2θ = 36.1°, I 396
- hkl 0 0 4, 2θ = 36.4°, I 415
- hkl 1 5 2, 2θ = 42.6°, I 292
- hkl 1 3 4, 2θ = 48.6°, I 566
- hkl 1 9 1, 2θ = 58.6°, I 248